Structure and computed PXRD pattern of CsNdW2O8 (a DFT-relaxed cell (PBE+U, the Materials Project); Cu Kα X-rays).
Kinematic intensities with the Lorentz-polarization factor, no thermal factor.

Principal peaks in the range 5 to 70 degrees two-theta, sorted by position:
2θ (°), d (Å), I (rel.), index
26.50, 3.363, 100, 2 2 0
27.54, 3.239, 24, 3 1 -2
28.51, 3.131, 78, 2 2 -2
30.46, 2.935, 35, 0 0 2
32.66, 2.742, 35, 4 0 -2
45.17, 2.007, 17, 0 4 2
45.86, 1.979, 18, 1 3 2
54.08, 1.696, 18, 2 2 -4

Structure:
abc: 11.038 11.008 7.631
angles: 90.00 129.72 90.00
Space group C2/c (No. 15)
Symmetry-distinct sites (fractional):
Cs 0.000 0.198 0.250 (multiplicity 4)
Nd 0.000 0.224 0.750 (multiplicity 4)
W 0.190 0.494 0.719 (multiplicity 8)
O 0.021 0.394 0.970 (multiplicity 8)
O 0.137 0.079 0.699 (multiplicity 8)
O 0.183 0.438 0.436 (multiplicity 8)
O 0.226 0.155 0.134 (multiplicity 8)